1.
Ba2ZnOs3O12: simulated X-ray diffraction stick pattern (Cu Kα, 1.54184 Å), based on a structure optimized by DFT (PBE).

Most intense lines, 10° ≤ 2θ ≤ 90°, sorted by position:
- d = 5.654 Å, I = 381
- d = 3.520 Å, I = 326
- d = 3.102 Å, I = 1000
- d = 3.063 Å, I = 760
- d = 2.988 Å, I = 385
- d = 2.957 Å, I = 705
- d = 1.822 Å, I = 458
- d = 1.760 Å, I = 360

Cell: 7.2871 7.2871 16.9609 Å, 90.00 90.00 120.00°
Space group R-3m (No. 166, hexagonal axes)
Asymmetric unit:
1 Ba 0.0000 0.0000 0.1217
2 Zn 0.0000 0.0000 0.5000
3 Os 0.0000 0.5000 0.0000
4 O 0.0351 0.5176 0.1096
5 O 0.0646 0.5323 0.3460

***

2.
Ba2P6O17: simulated X-ray diffraction stick pattern (Cu Kα, 1.54184 Å), based on a structure optimized by DFT (PBE).

Most intense lines, 10° ≤ 2θ ≤ 90°, sorted by position:
- d = 4.529 Å, I = 569
- d = 3.822 Å, I = 1000
- d = 3.667 Å, I = 650
- d = 3.539 Å, I = 489
- d = 3.512 Å, I = 647
- d = 3.445 Å, I = 907
- d = 3.233 Å, I = 452
- d = 2.512 Å, I = 403

Cell: 7.5274 13.7797 7.6028 Å, 90.00 105.21 90.00°
Space group P2_1 (No. 4)
Asymmetric unit:
1 Ba 0.1296 0.0000 0.2883
2 Ba 0.1675 0.2143 0.7136
3 P 0.0024 0.7725 0.8206
4 P 0.0540 0.4881 0.2572
5 P 0.3784 0.6868 0.8482
6 P 0.3790 0.4753 0.8473
7 P 0.4064 0.7808 0.5096
8 P 0.4685 0.4630 0.2653
9 O 0.0303 0.5419 0.4206
10 O 0.0337 0.3739 0.2936
11 O 0.0393 0.2812 0.0001
12 O 0.0570 0.0203 0.9264
13 O 0.0782 0.1957 0.3172
14 O 0.2155 0.4108 0.7814
15 O 0.2157 0.8198 0.4342
16 O 0.2306 0.7647 0.8649
17 O 0.2714 0.5009 0.2592
18 O 0.2850 0.5838 0.8601
19 O 0.3814 0.0257 0.6303
20 O 0.3922 0.6897 0.6436
21 O 0.4445 0.2001 0.0152
22 O 0.4712 0.3548 0.3335
23 O 0.4717 0.9831 0.2457
24 O 0.4766 0.2501 0.6091
25 O 0.4766 0.4518 0.0608

***

3.
Ba3P4O13: simulated X-ray diffraction stick pattern (Cu Kα, 1.54184 Å), based on a structure optimized by DFT (PBE).

Most intense lines, 10° ≤ 2θ ≤ 90°, sorted by position:
- d = 3.875 Å, I = 361
- d = 3.698 Å, I = 871
- d = 3.577 Å, I = 696
- d = 3.389 Å, I = 1000
- d = 3.376 Å, I = 496
- d = 3.116 Å, I = 450
- d = 2.898 Å, I = 349
- d = 2.878 Å, I = 362

Cell: 5.8051 7.3341 8.1900 Å, 83.00 75.92 70.51°
Space group P1 (No. 1)
Asymmetric unit:
1 Ba 0.0000 0.0000 0.0000
2 Ba 0.2892 0.1701 0.4535
3 Ba 0.6473 0.5890 0.2258
4 P 0.3111 0.3935 0.0394
5 P 0.6392 0.7928 0.7622
6 P 0.6435 0.3750 0.7005
7 P 0.9712 0.7764 0.4225
8 O 0.0364 0.5587 0.4134
9 O 0.1015 0.3022 0.1029
10 O 0.1891 0.8588 0.3622
11 O 0.2286 0.6125 0.0467
12 O 0.3958 0.9166 0.7174
13 O 0.4078 0.3437 0.8369
14 O 0.5364 0.2903 0.1221
15 O 0.5764 0.3946 0.5311
16 O 0.6718 0.5678 0.7553
17 O 0.6754 0.8212 0.9330
18 O 0.7512 0.8898 0.3372
19 O 0.8734 0.8235 0.6255
20 O 0.8815 0.2175 0.7218

***

4.
Ba5P2O: simulated X-ray diffraction stick pattern (Cu Kα, 1.54184 Å), based on a structure optimized by DFT (PBE).

Most intense lines, 10° ≤ 2θ ≤ 90°, sorted by position:
- d = 4.146 Å, I = 755
- d = 3.736 Å, I = 744
- d = 3.683 Å, I = 792
- d = 3.621 Å, I = 704
- d = 3.244 Å, I = 1000
- d = 2.974 Å, I = 609
- d = 2.623 Å, I = 682
- d = 2.529 Å, I = 628

Cell: 14.7366 5.0578 16.6255 Å, 90.00 90.00 90.00°
Space group Pnma (No. 62)
Asymmetric unit:
1 Ba 0.0127 0.2500 0.1550
2 Ba 0.0190 0.7500 0.3961
3 Ba 0.1965 0.2500 0.9599
4 Ba 0.2455 0.7500 0.1183
5 Ba 0.2467 0.2500 0.2800
6 P 0.1128 0.2500 0.7718
7 P 0.1426 0.2500 0.4540
8 O 0.1855 0.2500 0.1262

***

5.
Ba2P6O17: simulated X-ray diffraction stick pattern (Cu Kα, 1.54184 Å), based on a structure optimized by DFT (PBE).

Most intense lines, 10° ≤ 2θ ≤ 90°, sorted by position:
- d = 5.831 Å, I = 249
- d = 4.947 Å, I = 1000
- d = 4.402 Å, I = 287
- d = 4.059 Å, I = 425
- d = 3.743 Å, I = 341
- d = 3.672 Å, I = 402
- d = 3.265 Å, I = 298
- d = 2.812 Å, I = 246

Cell: 6.4876 18.9834 8.0728 Å, 90.00 109.20 90.00°
Space group P2_1/c (No. 14)
Asymmetric unit:
1 Ba 0.0831 0.0800 0.3488
2 P 0.3074 0.6687 0.5917
3 P 0.3430 0.6853 0.9743
4 P 0.4820 0.0309 0.8117
5 O 0.1105 0.6408 0.4569
6 O 0.1496 0.6678 0.0261
7 O 0.2557 0.0169 0.6873
8 O 0.2569 0.6942 0.7599
9 O 0.3210 0.5100 0.7327
10 O 0.4200 0.7329 0.5307
11 O 0.4529 0.1432 0.4711
12 O 0.4901 0.1163 0.8505
13 O 0.5000 0.0000 0.0000

***

Please write out number 2 again, unchanged.
Ba2P6O17: simulated X-ray diffraction stick pattern (Cu Kα, 1.54184 Å), based on a structure optimized by DFT (PBE).

Most intense lines, 10° ≤ 2θ ≤ 90°, sorted by position:
- d = 4.529 Å, I = 569
- d = 3.822 Å, I = 1000
- d = 3.667 Å, I = 650
- d = 3.539 Å, I = 489
- d = 3.512 Å, I = 647
- d = 3.445 Å, I = 907
- d = 3.233 Å, I = 452
- d = 2.512 Å, I = 403

Cell: 7.5274 13.7797 7.6028 Å, 90.00 105.21 90.00°
Space group P2_1 (No. 4)
Asymmetric unit:
1 Ba 0.1296 0.0000 0.2883
2 Ba 0.1675 0.2143 0.7136
3 P 0.0024 0.7725 0.8206
4 P 0.0540 0.4881 0.2572
5 P 0.3784 0.6868 0.8482
6 P 0.3790 0.4753 0.8473
7 P 0.4064 0.7808 0.5096
8 P 0.4685 0.4630 0.2653
9 O 0.0303 0.5419 0.4206
10 O 0.0337 0.3739 0.2936
11 O 0.0393 0.2812 0.0001
12 O 0.0570 0.0203 0.9264
13 O 0.0782 0.1957 0.3172
14 O 0.2155 0.4108 0.7814
15 O 0.2157 0.8198 0.4342
16 O 0.2306 0.7647 0.8649
17 O 0.2714 0.5009 0.2592
18 O 0.2850 0.5838 0.8601
19 O 0.3814 0.0257 0.6303
20 O 0.3922 0.6897 0.6436
21 O 0.4445 0.2001 0.0152
22 O 0.4712 0.3548 0.3335
23 O 0.4717 0.9831 0.2457
24 O 0.4766 0.2501 0.6091
25 O 0.4766 0.4518 0.0608